Computed X-ray powder pattern
Compound: LuMg2Cr3S8
Radiation: CuKα
Structure: the GGA-PBE geometry in the Materials Project
Lines closer than 0.1° are merged.

Structure:
```
data_LuMg2Cr3S8
_chemical_formula_sum 'Lu3 Mg6 Cr9 S24'
_cell_length_a 7.3461
_cell_length_b 7.3461
_cell_length_c 18.0598
_cell_angle_alpha 90.00
_cell_angle_beta 90.00
_cell_angle_gamma 120.00
_space_group_name_H-M_alt 'R -3 m'
_space_group_IT_number 166
_space_group_name_Hall '-R 3 2"'
loop_
_atom_site_label
_atom_site_fract_x
_atom_site_fract_y
_atom_site_fract_z
Lu1 0.0000 0.0000 0.0000
Mg1 0.0000 0.0000 0.3761
Cr1 0.0000 0.5000 0.5000
S1 0.0000 0.0000 0.2363
S2 0.0195 0.5097 0.7616
```

Largest 8 diffraction maxima, in order of rising 2θ, 10° ≤ 2θ ≤ 90°:
2theta, intensity, h k l
14.76, 100.0, 1 0 1
17.05, 21.7, 0 1 2
24.23, 23.8, 1 1 0
28.45, 96.9, 1 1 3
34.49, 82.8, 0 2 4
45.32, 42.5, 0 3 3
49.51, 35.2, 2 0 8
49.64, 39.7, 2 2 0

Computed X-ray powder pattern
Compound: LuCr2Si2
Radiation: CuKα
Structure: the GGA-PBE geometry in the Materials Project
Lines closer than 0.1° are merged.

Structure:
```
data_LuCr2Si2
_chemical_formula_sum 'Lu2 Cr4 Si4'
_cell_length_a 3.810
_cell_length_b 3.810
_cell_length_c 10.610
_cell_angle_alpha 90.00
_cell_angle_beta 90.00
_cell_angle_gamma 90.00
_space_group_name_H-M_alt 'I 4/m m m'
_space_group_IT_number 139
_space_group_name_Hall '-I 4 2'
loop_
_atom_site_label
_atom_site_fract_x
_atom_site_fract_y
_atom_site_fract_z
Lu1 0.000 0.000 0.000
Cr1 0.000 0.500 0.250
Si1 0.000 0.000 0.387
```

Largest 8 diffraction maxima, in order of rising 2θ, 10° ≤ 2θ ≤ 90°:
2theta, intensity, h k l
24.83, 56.5, 1 0 1
33.79, 20.3, 0 0 4
34.61, 61.8, 1 0 3
37.44, 100.0, 1 1 2
47.75, 33.3, 2 0 0
49.15, 27.9, 1 0 5
60.30, 24.9, 2 1 3
82.03, 19.2, 3 1 2